The following is a computed powder diffraction line list of Ac2As2H4Ru. It was derived from the GGA-PBE geometry in Alexandria, using λ = 1.5418 Å (Cu Kα).

Structure:
```
Ac2As2H4Ru
1.0
-3.0618 3.0618 3.9550
3.0618 -3.0618 3.9550
3.0618 3.0618 -3.9550
Ac As H Ru
2 2 4 1
Direct
0.2500 0.7500 0.5000 Ac
0.7500 0.2500 0.5000 Ac
0.1735 0.1735 0.0000 As
0.8265 0.8265 0.0000 As
0.2999 0.2999 0.5998 H
0.2999 0.7001 0.0000 H
0.7001 0.2999 0.0000 H
0.7001 0.7001 0.4002 H
0.5000 0.5000 0.0000 Ru
```

Largest 10 diffraction maxima, low angle first, 5 to 70 degrees two-theta:
d [Å], intensity
4.330, 15
3.955, 34
3.062, 100
2.920, 76
2.421, 55
2.165, 39
1.899, 33
1.739, 34
1.661, 17
1.369, 18



The following is a computed powder diffraction line list of Pr3Nd4. It was derived from the GGA-PBE geometry in Alexandria, using λ = 1.5418 Å (Cu Kα).

Structure:
```
Pr3Nd4
1.0
3.6996 0.0000 0.0000
0.0000 3.6996 0.0000
0.0000 0.0000 36.6362
Pr Nd
6 8
Direct
0.0000 0.0000 0.0000 Pr
0.0000 0.0000 0.2861 Pr
0.0000 0.0000 0.7139 Pr
0.5000 0.5000 0.2139 Pr
0.5000 0.5000 0.5000 Pr
0.5000 0.5000 0.7861 Pr
0.0000 0.0000 0.1424 Nd
0.0000 0.0000 0.4285 Nd
0.0000 0.0000 0.5715 Nd
0.0000 0.0000 0.8576 Nd
0.5000 0.5000 0.0715 Nd
0.5000 0.5000 0.3576 Nd
0.5000 0.5000 0.6424 Nd
0.5000 0.5000 0.9285 Nd
```

Largest 5 diffraction maxima, low angle first, 5 to 70 degrees two-theta:
d [Å], intensity
3.021, 100
2.616, 51
1.850, 36
1.578, 44
1.511, 13



The following is a computed powder diffraction line list of NbP. It was derived from the GGA-PBE geometry in Alexandria, using λ = 1.5418 Å (Cu Kα).

Structure:
```
NbP
1.0
3.3550 0.0000 0.0000
0.0000 3.3550 0.0000
0.0000 0.0000 11.4413
Nb P
4 4
Direct
0.0000 0.0000 0.0000 Nb
0.0000 0.5000 0.2500 Nb
0.5000 0.0000 0.7500 Nb
0.5000 0.5000 0.5000 Nb
0.0000 0.0000 0.5825 P
0.0000 0.5000 0.8325 P
0.5000 0.0000 0.3325 P
0.5000 0.5000 0.0825 P
```

Largest 10 diffraction maxima, low angle first, 5 to 70 degrees two-theta:
d [Å], intensity
3.219, 56
2.860, 30
2.519, 58
2.191, 100
1.890, 36
1.678, 26
1.487, 21
1.469, 16
1.447, 14
1.396, 17



The following is a computed powder diffraction line list of K4IrO4. It was derived from the GGA-PBE geometry in Alexandria, using λ = 1.5418 Å (Cu Kα).

Structure:
```
K4IrO4
1.0
4.6578 -3.2025 0.0000
4.6578 3.2025 0.0000
-1.7809 0.0000 6.0206
K Ir O
4 1 4
Direct
0.1220 0.1220 0.3654 K
0.3064 0.3064 0.9171 K
0.6936 0.6936 0.0829 K
0.8780 0.8780 0.6346 K
0.5000 0.5000 0.5000 Ir
0.1762 0.6028 0.3009 O
0.3972 0.8238 0.6991 O
0.6028 0.1762 0.3009 O
0.8238 0.3972 0.6991 O
```

Largest 10 diffraction maxima, low angle first, 5 to 70 degrees two-theta:
d [Å], intensity
6.021, 92
5.205, 100
4.305, 44
4.203, 56
3.202, 47
3.181, 40
2.815, 84
2.741, 95
2.257, 78
1.763, 34



The following is a computed powder diffraction line list of MgZn6Pd. It was derived from the GGA-PBE geometry in Alexandria, using λ = 1.5418 Å (Cu Kα).

Structure:
```
MgZn6Pd
1.0
5.0146 0.0000 0.0000
0.0000 5.0146 0.0000
0.0000 0.0000 5.0146
Mg Zn Pd
1 6 1
Direct
0.0000 0.0000 0.0000 Mg
0.0000 0.2539 0.5000 Zn
0.0000 0.7461 0.5000 Zn
0.2539 0.5000 0.0000 Zn
0.5000 0.0000 0.2539 Zn
0.5000 0.0000 0.7461 Zn
0.7461 0.5000 0.0000 Zn
0.5000 0.5000 0.5000 Pd
```

Largest 9 diffraction maxima, low angle first, 5 to 70 degrees two-theta:
d [Å], intensity
5.015, 17
2.895, 4
2.507, 30
2.243, 100
2.047, 65
1.672, 4
1.512, 2
1.448, 7
1.391, 20



The following is a computed powder diffraction line list of TiNb2. It was derived from the GGA-PBE geometry in Alexandria, using λ = 1.5418 Å (Cu Kα).

Structure:
```
TiNb2
1.0
13.5144 0.0000 0.0000
0.0000 3.3433 0.0000
-0.3268 0.0000 4.7263
Ti Nb
4 8
Direct
0.0852 0.0000 0.2190 Ti
0.4148 0.5000 0.7810 Ti
0.5852 0.5000 0.2190 Ti
0.9148 0.0000 0.7810 Ti
0.0787 0.5000 0.7270 Nb
0.2455 0.0000 0.7482 Nb
0.2545 0.5000 0.2518 Nb
0.4213 0.0000 0.2730 Nb
0.5787 0.0000 0.7270 Nb
0.7455 0.5000 0.7482 Nb
0.7545 0.0000 0.2518 Nb
0.9213 0.5000 0.2730 Nb
```

Largest 10 diffraction maxima, low angle first, 5 to 70 degrees two-theta:
d [Å], intensity
4.002, 7
2.375, 100
2.363, 47
2.293, 88
2.247, 42
1.688, 16
1.672, 17
1.575, 12
1.384, 15
1.365, 15



The following is a computed powder diffraction line list of Mg6Al7. It was derived from the GGA-PBE geometry in Alexandria, using λ = 1.5418 Å (Cu Kα).

Structure:
```
Mg6Al7
1.0
2.7083 1.5636 10.0085
-2.7083 1.5636 10.0085
0.0000 -3.1273 10.0085
Mg Al
6 7
Direct
0.0477 0.0477 0.0477 Mg
0.1517 0.1517 0.1517 Mg
0.3347 0.3347 0.3347 Mg
0.6653 0.6653 0.6653 Mg
0.8483 0.8483 0.8483 Mg
0.9523 0.9523 0.9523 Mg
0.0887 0.5914 0.5914 Al
0.4086 0.4086 0.9113 Al
0.4086 0.9113 0.4086 Al
0.5000 0.5000 0.5000 Al
0.5914 0.0887 0.5914 Al
0.5914 0.5914 0.0887 Al
0.9113 0.4086 0.4086 Al
```

Largest 10 diffraction maxima, low angle first, 5 to 70 degrees two-theta:
d [Å], intensity
2.708, 45
2.529, 51
2.502, 27
2.382, 100
2.359, 59
2.338, 47
2.239, 25
2.185, 58
1.487, 26
1.354, 35



The following is a computed powder diffraction line list of HoAl12Pd4. It was derived from the GGA-PBE geometry in Alexandria, using λ = 1.5418 Å (Cu Kα).

Structure:
```
HoAl12Pd4
1.0
-4.3795 4.3795 4.3795
4.3795 -4.3795 4.3795
4.3795 4.3795 -4.3795
Ho Al Pd
1 12 4
Direct
0.0000 0.0000 0.0000 Ho
0.1563 0.3413 0.4976 Al
0.1563 0.6587 0.8151 Al
0.1850 0.8437 0.3413 Al
0.3413 0.1850 0.8437 Al
0.3413 0.4976 0.1563 Al
0.4976 0.1563 0.3413 Al
0.5024 0.8437 0.6587 Al
0.6587 0.5024 0.8437 Al
0.6587 0.8151 0.1563 Al
0.8151 0.1563 0.6587 Al
0.8437 0.3413 0.1850 Al
0.8437 0.6587 0.5024 Al
0.0000 0.0000 0.5000 Pd
0.0000 0.5000 0.0000 Pd
0.5000 0.0000 0.0000 Pd
0.5000 0.5000 0.5000 Pd
```

Largest 10 diffraction maxima, low angle first, 5 to 70 degrees two-theta:
d [Å], intensity
6.194, 31
4.380, 27
3.097, 100
2.770, 41
2.341, 35
2.190, 21
1.959, 24
1.788, 65
1.718, 19
1.385, 23